This entry pairs a crystal structure of V3H6O10 with its computed powder X-ray diffraction pattern. Radiation: λ = 1.5418 Å (Cu Kα). Structure: a structure optimized by DFT (PBE+U).

Cell and atoms:
```
data_V3H6O10
_cell_length_a 9.0309
_cell_length_b 9.0309
_cell_length_c 5.5423
_cell_angle_alpha 90.00
_cell_angle_beta 90.00
_cell_angle_gamma 90.00
_space_group_name_H-M_alt 'P 4 b m'
_space_group_IT_number 100
loop_
_space_group_symop_operation_xyz
'x,y,z'
'-y,x,z'
'-x,-y,z'
'y,-x,z'
'-x+1/2,y+1/2,z'
'y+1/2,x+1/2,z'
'x+1/2,-y+1/2,z'
'-y+1/2,-x+1/2,z'
loop_
_atom_site_label
_atom_site_type_symbol
_atom_site_fract_x
_atom_site_fract_y
_atom_site_fract_z
_atom_site_occupancy
V1 V 0.0000 0.0000 0.0000 1
V2 V 0.1387 0.3613 0.0261 1
H1 H 0.0531 0.6770 0.4699 1
H2 H 0.2299 0.2701 0.4195 1
O1 O 0.0000 0.0000 0.2937 1
O2 O 0.0000 0.5000 0.9704 1
O3 O 0.0868 0.1953 0.9081 1
O4 O 0.1538 0.3462 0.3473 1
O5 O 0.1589 0.6589 0.5002 1
```

Top 8 peaks for 15° ≤ 2θ ≤ 90°, sorted by position:
15.99 deg, I 100.0, (0 0 1); 22.01 deg, I 63.3, (2 1 0); 25.44 deg, I 19.1, (2 0 1); 27.32 deg, I 95.8, (2 1 1); 31.32 deg, I 42.4, (3 1 0); 32.31 deg, I 39.0, (0 0 2); 35.35 deg, I 20.2, (3 1 1); 44.89 deg, I 16.8, (4 2 0)

=====

This entry pairs a crystal structure of V2H3O5 with its computed powder X-ray diffraction pattern. Radiation: λ = 1.5418 Å (Cu Kα). Structure: a structure optimized by DFT (PBE+U).

Cell and atoms:
```
data_V2H3O5
_cell_length_a 12.2665
_cell_length_b 3.0906
_cell_length_c 4.8790
_cell_angle_alpha 90.00
_cell_angle_beta 98.73
_cell_angle_gamma 90.00
_space_group_name_H-M_alt 'C 1 m 1'
_space_group_IT_number 8
loop_
_space_group_symop_operation_xyz
'x,y,z'
'x,-y,z'
'x+1/2,y+1/2,z'
'x+1/2,-y+1/2,z'
loop_
_atom_site_label
_atom_site_type_symbol
_atom_site_fract_x
_atom_site_fract_y
_atom_site_fract_z
_atom_site_occupancy
V1 V 0.0000 0.0000 0.0000 1
V2 V 0.2236 0.5000 0.2068 1
H1 H 0.0127 0.5000 0.5504 1
H2 H 0.1966 0.0000 0.7476 1
H3 H 0.3387 0.0000 0.5736 1
O1 O 0.0630 0.5000 0.2407 1
O2 O 0.1686 0.0000 0.9325 1
O3 O 0.2599 0.0000 0.4812 1
O4 O 0.3696 0.5000 0.0886 1
O5 O 0.4742 0.0000 0.7190 1
```

Top 8 peaks for 15° ≤ 2θ ≤ 90°, sorted by position:
18.40 deg, I 100.0, (0 0 1); 21.74 deg, I 58.6, (2 0 -1); 29.47 deg, I 40.7, (4 0 0); 35.89 deg, I 93.1, (1 1 1); 45.99 deg, I 28.7, (6 0 -1); 49.41 deg, I 38.3, (1 1 2); 53.74 deg, I 14.4, (5 1 1); 61.90 deg, I 14.6, (2 0 3)

=====

This entry pairs a crystal structure of V3H5O8 with its computed powder X-ray diffraction pattern. Radiation: λ = 1.5418 Å (Cu Kα). Structure: a structure optimized by DFT (PBE+U).

Cell and atoms:
```
data_V3H5O8
_cell_length_a 19.3923
_cell_length_b 3.1058
_cell_length_c 4.8111
_cell_angle_alpha 90.00
_cell_angle_beta 104.33
_cell_angle_gamma 90.00
_space_group_name_H-M_alt 'C 1 m 1'
_space_group_IT_number 8
loop_
_space_group_symop_operation_xyz
'x,y,z'
'x,-y,z'
'x+1/2,y+1/2,z'
'x+1/2,-y+1/2,z'
loop_
_atom_site_label
_atom_site_type_symbol
_atom_site_fract_x
_atom_site_fract_y
_atom_site_fract_z
_atom_site_occupancy
V1 V 0.0000 0.0000 0.0000 1
V2 V 0.1397 0.5000 0.2451 1
V3 V 0.3180 0.5000 0.1038 1
H1 H 0.0077 0.5000 0.5480 1
H2 H 0.1307 0.0000 0.6945 1
H3 H 0.2361 0.0000 0.7197 1
H4 H 0.3239 0.0000 0.5796 1
H5 H 0.4060 0.0000 0.5281 1
O1 O 0.0366 0.5000 0.2627 1
O2 O 0.1023 0.0000 0.9795 1
O3 O 0.1565 0.0000 0.5347 1
O4 O 0.2264 0.5000 0.1997 1
O5 O 0.2889 0.0000 0.8231 1
O6 O 0.3514 0.0000 0.4166 1
O7 O 0.4132 0.5000 0.0417 1
O8 O 0.4802 0.0000 0.7024 1
```

Top 8 peaks for 15° ≤ 2θ ≤ 90°, sorted by position:
19.04 deg, I 100.0, (0 0 1); 23.32 deg, I 51.8, (4 0 -1); 28.50 deg, I 37.0, (6 0 0); 35.71 deg, I 96.2, (1 1 1); 47.49 deg, I 26.5, (10 0 -1); 50.12 deg, I 46.6, (1 1 2); 59.53 deg, I 14.4, (0 2 0); 63.04 deg, I 15.2, (2 0 3)

=====

This entry pairs a crystal structure of V2Zn3H2O11 with its computed powder X-ray diffraction pattern. Radiation: λ = 1.5418 Å (Cu Kα). Structure: a structure optimized by DFT (PBE+U).

Cell and atoms:
```
data_V2Zn3H2O11
_cell_length_a 10.6330
_cell_length_b 6.1047
_cell_length_c 7.2090
_cell_angle_alpha 90.00
_cell_angle_beta 90.07
_cell_angle_gamma 90.00
_space_group_name_H-M_alt 'C 1 2 1'
_space_group_IT_number 5
loop_
_space_group_symop_operation_xyz
'x,y,z'
'-x,y,-z'
'x+1/2,y+1/2,z'
'-x+1/2,y+1/2,-z'
loop_
_atom_site_label
_atom_site_type_symbol
_atom_site_fract_x
_atom_site_fract_y
_atom_site_fract_z
_atom_site_occupancy
V1 V 0.0000 0.0000 0.2500 1
Zn1 Zn 0.0000 0.4994 0.0000 1
Zn2 Zn 0.2502 0.2492 0.9994 1
H1 H 0.1661 0.4979 0.7341 1
O1 O 0.0000 0.9992 0.5000 1
O2 O 0.0764 0.7680 0.1687 1
O3 O 0.0774 0.2322 0.1698 1
O4 O 0.1537 0.9985 0.8323 1
O5 O 0.1664 0.4989 0.8724 1
O6 O 0.1874 0.5599 0.4984 1
```

Top 8 peaks for 15° ≤ 2θ ≤ 90°, sorted by position:
20.80 deg, I 37.5, (1 1 1); 29.98 deg, I 100.0, (2 0 -2); 33.72 deg, I 25.1, (4 0 0); 33.86 deg, I 43.6, (2 2 0); 36.15 deg, I 49.7, (2 2 1); 51.35 deg, I 30.2, (2 2 3); 60.40 deg, I 24.4, (6 2 0); 62.31 deg, I 36.7, (4 0 4)

=====

This entry pairs a crystal structure of HW2O6 with its computed powder X-ray diffraction pattern. Radiation: λ = 1.5418 Å (Cu Kα). Structure: a structure optimized by DFT (PBE+U).

Cell and atoms:
```
data_HW2O6
_cell_length_a 7.7345
_cell_length_b 7.7345
_cell_length_c 7.7345
_cell_angle_alpha 90.00
_cell_angle_beta 90.00
_cell_angle_gamma 90.00
_space_group_name_H-M_alt 'F m -3 m'
_space_group_IT_number 225
_space_group_name_Hall '-F 4 2 3'
loop_
_atom_site_label
_atom_site_type_symbol
_atom_site_fract_x
_atom_site_fract_y
_atom_site_fract_z
_atom_site_occupancy
H1 H 0.0000 0.0000 0.0000 1
W1 W 0.2500 0.2500 0.2500 1
O1 O 0.0000 0.2500 0.2500 1
```

Top 8 peaks for 15° ≤ 2θ ≤ 90°, sorted by position:
23.00 deg, I 100.0, (2 0 0); 32.75 deg, I 56.7, (2 2 0); 40.40 deg, I 13.9, (2 2 2); 46.99 deg, I 19.8, (4 0 0); 52.94 deg, I 41.4, (4 2 0); 58.46 deg, I 23.0, (4 2 2); 68.64 deg, I 12.0, (4 4 0); 73.46 deg, I 19.3, (6 0 0)

=====

This entry pairs a crystal structure of HW2O6 with its computed powder X-ray diffraction pattern. Radiation: λ = 1.5418 Å (Cu Kα). Structure: a structure optimized by DFT (PBE+U).

Cell and atoms:
```
data_HW2O6
_cell_length_a 5.4285
_cell_length_b 5.4321
_cell_length_c 5.4874
_cell_angle_alpha 119.47
_cell_angle_beta 119.03
_cell_angle_gamma 90.70
_space_group_name_H-M_alt 'P 1'
_space_group_IT_number 1
loop_
_space_group_symop_operation_xyz
'x,y,z'
loop_
_atom_site_label
_atom_site_type_symbol
_atom_site_fract_x
_atom_site_fract_y
_atom_site_fract_z
_atom_site_occupancy
H1 H 0.0000 0.0000 0.0000 1
W1 W 0.2793 0.7600 0.5280 1
W2 W 0.7788 0.2588 0.5276 1
O1 O 0.4782 0.9949 0.4736 1
O2 O 0.4851 0.4955 0.4799 1
O3 O 0.4867 0.9968 0.9790 1
O4 O 0.9810 0.9920 0.4788 1
O5 O 0.9839 0.4920 0.9804 1
O6 O 0.9850 0.4959 0.4817 1
```

Top 8 peaks for 15° ≤ 2θ ≤ 90°, sorted by position:
22.55 deg, I 100.0, (0 0 1); 23.02 deg, I 95.5, (1 -1 0); 23.31 deg, I 92.9, (1 1 -1); 32.34 deg, I 28.8, (1 -1 1); 32.55 deg, I 27.7, (-1 1 1); 32.65 deg, I 55.5, (1 1 0); 32.99 deg, I 53.8, (2 0 -1); 52.22 deg, I 30.5, (-1 1 2)

=====

This entry pairs a crystal structure of H2W2O7 with its computed powder X-ray diffraction pattern. Radiation: λ = 1.5418 Å (Cu Kα). Structure: a structure optimized by DFT (PBE+U).

Cell and atoms:
```
data_H2W2O7
_cell_length_a 7.1916
_cell_length_b 9.7170
_cell_length_c 7.5738
_cell_angle_alpha 90.00
_cell_angle_beta 90.00
_cell_angle_gamma 90.00
_space_group_name_H-M_alt 'I m a 2'
_space_group_IT_number 46
loop_
_space_group_symop_operation_xyz
'x,y,z'
'-x,-y,z'
'-x+1/2,y,z'
'x+1/2,-y,z'
'x+1/2,y+1/2,z+1/2'
'-x+1/2,-y+1/2,z+1/2'
'-x,y+1/2,z+1/2'
'x,-y+1/2,z+1/2'
loop_
_atom_site_label
_atom_site_type_symbol
_atom_site_fract_x
_atom_site_fract_y
_atom_site_fract_z
_atom_site_occupancy
H1 H 0.2500 0.0573 0.0000 1
H2 H 0.2500 0.6783 0.1593 1
W1 W 0.0000 0.0000 0.4883 1
W2 W 0.2500 0.2351 0.2705 1
O1 O 0.0021 0.6702 0.8286 1
O2 O 0.0848 0.1252 0.6677 1
O3 O 0.2500 0.0341 0.3427 1
O4 O 0.2500 0.1575 0.0114 1
O5 O 0.2500 0.6045 0.0719 1
```

Top 8 peaks for 15° ≤ 2θ ≤ 90°, sorted by position:
15.33 deg, I 100.0, (1 1 0); 28.17 deg, I 37.8, (1 1 2); 28.98 deg, I 36.2, (2 1 1); 29.93 deg, I 77.1, (0 2 2); 30.94 deg, I 49.6, (2 2 0); 34.39 deg, I 33.0, (2 0 2); 51.41 deg, I 32.7, (2 4 2); 60.08 deg, I 24.4, (4 2 2)

=====

This entry pairs a crystal structure of H2W2O7 with its computed powder X-ray diffraction pattern. Radiation: λ = 1.5418 Å (Cu Kα). Structure: a structure optimized by DFT (PBE+U).

Cell and atoms:
```
data_H2W2O7
_cell_length_a 7.2628
_cell_length_b 7.2628
_cell_length_c 9.6988
_cell_angle_alpha 90.00
_cell_angle_beta 90.00
_cell_angle_gamma 90.00
_space_group_name_H-M_alt 'I 41/a m d'
_space_group_IT_number 141
loop_
_space_group_symop_operation_xyz
'x,y,z'
'-x,-y,-z'
'-y+1/4,x+3/4,z+1/4'
'y+1/4,-x+3/4,-z+1/4'
'-x+1/2,-y,z+1/2'
'x+1/2,y,-z+1/2'
'y+1/4,-x+1/4,z+3/4'
'-y+1/4,x+1/4,-z+3/4'
'x,-y,-z'
'-x,y,z'
'-y+1/4,-x+1/4,-z+3/4'
'y+1/4,x+1/4,z+3/4'
'-x+1/2,y,-z+1/2'
'x+1/2,-y,z+1/2'
'y+1/4,x+3/4,-z+1/4'
'-y+1/4,-x+3/4,z+1/4'
'x+1/2,y+1/2,z+1/2'
'-x+1/2,-y+1/2,-z+1/2'
'-y+3/4,x+1/4,z+3/4'
'y+3/4,-x+1/4,-z+3/4'
'-x,-y+1/2,z'
'x,y+1/2,-z'
'y+3/4,-x+3/4,z+1/4'
'-y+3/4,x+3/4,-z+1/4'
'x+1/2,-y+1/2,-z+1/2'
'-x+1/2,y+1/2,z+1/2'
'-y+3/4,-x+3/4,-z+1/4'
'y+3/4,x+3/4,z+1/4'
'-x,y+1/2,-z'
'x,-y+1/2,z'
'y+3/4,x+1/4,-z+3/4'
'-y+3/4,-x+1/4,z+3/4'
loop_
_atom_site_label
_atom_site_type_symbol
_atom_site_fract_x
_atom_site_fract_y
_atom_site_fract_z
_atom_site_occupancy
H1 H 0.0000 0.2500 0.0409 1
W1 W 0.0000 0.0000 0.5000 1
O1 O 0.0000 0.2500 0.1417 1
O2 O 0.0000 0.2500 0.3750 1
O3 O 0.2180 0.0320 0.3750 1
```

Top 8 peaks for 15° ≤ 2θ ≤ 90°, sorted by position:
15.24 deg, I 100.0, (1 0 1); 28.99 deg, I 31.9, (2 1 1); 30.26 deg, I 12.4, (1 0 3); 30.76 deg, I 57.7, (2 0 2); 39.32 deg, I 14.6, (2 1 3); 50.25 deg, I 11.4, (4 0 0); 51.86 deg, I 21.0, (2 2 4); 60.08 deg, I 17.6, (4 2 2)

=====

This entry pairs a crystal structure of H2W2O7 with its computed powder X-ray diffraction pattern. Radiation: λ = 1.5418 Å (Cu Kα). Structure: a structure optimized by DFT (PBE+U).

Cell and atoms:
```
data_H2W2O7
_cell_length_a 7.3388
_cell_length_b 10.4870
_cell_length_c 7.4403
_cell_angle_alpha 90.00
_cell_angle_beta 90.00
_cell_angle_gamma 90.00
_space_group_name_H-M_alt 'I m a 2'
_space_group_IT_number 46
loop_
_space_group_symop_operation_xyz
'x,y,z'
'-x,-y,z'
'-x+1/2,y,z'
'x+1/2,-y,z'
'x+1/2,y+1/2,z+1/2'
'-x+1/2,-y+1/2,z+1/2'
'-x,y+1/2,z+1/2'
'x,-y+1/2,z+1/2'
loop_
_atom_site_label
_atom_site_type_symbol
_atom_site_fract_x
_atom_site_fract_y
_atom_site_fract_z
_atom_site_occupancy
H1 H 0.2500 0.0695 0.0000 1
H2 H 0.2500 0.6578 0.0462 1
W1 W 0.0000 0.0000 0.4021 1
W2 W 0.2500 0.2352 0.7145 1
O1 O 0.0547 0.6245 0.7457 1
O2 O 0.0634 0.1380 0.6474 1
O3 O 0.2500 0.1028 0.3463 1
O4 O 0.2500 0.1619 0.9777 1
O5 O 0.2500 0.5648 0.0375 1
```

Top 8 peaks for 15° ≤ 2θ ≤ 90°, sorted by position:
28.22 deg, I 100.0, (0 3 1); 28.43 deg, I 52.6, (2 1 1); 29.44 deg, I 79.7, (0 2 2); 29.72 deg, I 82.4, (2 2 0); 34.33 deg, I 34.0, (2 0 2); 49.24 deg, I 47.5, (2 4 2); 51.58 deg, I 28.7, (2 3 3); 58.33 deg, I 24.3, (0 6 2)